1.
This entry pairs a crystal structure of Mg5H2Ir2 with its calculated powder diffractogram. Radiation: CuKα. Structure: a DFT-relaxed cell (PBE, Alexandria).
Kinematic intensities with the Lorentz-polarization factor, no thermal factor.

Peak list (12 most intense, 2θ from 10° to 90°, sorted by position)
2θ = 16.42°, d 5.399, intensity 54, hkl 0 1 0
2θ = 22.10°, d 4.023, intensity 44, hkl 0 1 -1
2θ = 24.98°, d 3.565, intensity 100, hkl 1 0 -1
2θ = 30.95°, d 2.889, intensity 18, hkl 1 1 1
2θ = 37.90°, d 2.374, intensity 19, hkl 2 0 0
2θ = 38.36°, d 2.347, intensity 59, hkl 1 2 0
2θ = 38.75°, d 2.324, intensity 37, hkl 0 2 1
2θ = 40.57°, d 2.224, intensity 55, hkl 1 1 -2
2θ = 41.57°, d 2.173, intensity 19, hkl 2 1 0
2θ = 55.32°, d 1.661, intensity 19, hkl 2 1 2
2θ = 59.00°, d 1.566, intensity 16, hkl -1 3 1
2θ = 70.21°, d 1.341, intensity 21, hkl 0 4 -1

Cell: 4.748 5.425 5.426 Å, 95.71 90.03 90.05°
Space group P1 (No. 1)
Asymmetric unit:
Mg (0.000, 0.000, 0.000) x1
Mg (0.000, 0.380, 0.619) x1
Mg (0.236, 0.536, 0.155) x1
Mg (0.511, 0.060, 0.312) x1
Mg (0.511, 0.692, 0.679) x1
H (0.690, 0.387, 0.006) x1
H (0.758, 0.037, 0.661) x1
Ir (0.030, 0.873, 0.493) x1
Ir (0.480, 0.207, 0.826) x1

***

2.
This entry pairs a crystal structure of Mg3H3Ir4 with its calculated powder diffractogram. Radiation: CuKα. Structure: a DFT-relaxed cell (PBE, Alexandria).
Kinematic intensities with the Lorentz-polarization factor, no thermal factor.

Peak list (12 most intense, 2θ from 10° to 90°, sorted by position)
2θ = 20.79°, d 4.273, intensity 100, hkl 1 0 0
2θ = 33.25°, d 2.695, intensity 13, hkl 0 0 2
2θ = 34.55°, d 2.596, intensity 22, hkl 1 -2 0
2θ = 37.13°, d 2.421, intensity 17, hkl 1 -1 2
2θ = 39.24°, d 2.296, intensity 26, hkl 0 2 0
2θ = 40.99°, d 2.202, intensity 15, hkl 1 1 -2
2θ = 41.71°, d 2.165, intensity 41, hkl -1 1 2
2θ = 42.05°, d 2.149, intensity 17, hkl 2 -2 0
2θ = 42.31°, d 2.136, intensity 22, hkl 2 0 0
2θ = 42.67°, d 2.119, intensity 13, hkl 1 0 2
2θ = 42.85°, d 2.110, intensity 13, hkl 0 2 -2
2θ = 65.70°, d 1.421, intensity 13, hkl 0 1 -4

Cell: 4.847 5.411 5.687 Å, 105.78 91.65 116.47°
Space group P1 (No. 1)
Asymmetric unit:
Mg (0.000, 0.000, 0.000) x1
Mg (0.002, 0.925, 0.472) x1
Mg (0.889, 0.407, 0.633) x1
H (0.217, 0.472, 0.128) x1
H (0.638, 0.286, 0.914) x1
H (0.644, 0.280, 0.275) x1
Ir (0.425, 0.470, 0.393) x1
Ir (0.430, 0.472, 0.871) x1
Ir (0.454, 0.912, 0.745) x1
Ir (0.470, 0.912, 0.236) x1

***

3.
This entry pairs a crystal structure of Mg3H3Ir with its calculated powder diffractogram. Radiation: CuKα. Structure: a DFT-relaxed cell (PBE, Alexandria).
Kinematic intensities with the Lorentz-polarization factor, no thermal factor.

Peak list (12 most intense, 2θ from 10° to 90°, sorted by position)
2θ = 13.70°, d 6.464, intensity 100, hkl 0 0 1
2θ = 20.27°, d 4.380, intensity 42, hkl 0 1 0
2θ = 20.54°, d 4.324, intensity 42, hkl 0 1 -1
2θ = 27.60°, d 3.232, intensity 23, hkl 0 0 2
2θ = 30.37°, d 2.943, intensity 18, hkl 1 0 -1
2θ = 35.49°, d 2.529, intensity 16, hkl 1 1 -1
2θ = 36.31°, d 2.474, intensity 26, hkl 1 0 1
2θ = 38.06°, d 2.364, intensity 32, hkl 1 1 0
2θ = 38.36°, d 2.347, intensity 28, hkl 1 1 -2
2θ = 38.98°, d 2.311, intensity 16, hkl 0 2 -1
2θ = 45.28°, d 2.003, intensity 16, hkl 1 1 1
2θ = 45.80°, d 1.981, intensity 16, hkl 1 1 -3

Cell: 3.022 4.622 6.984 Å, 108.17 102.39 90.05°
Space group P1 (No. 1)
Asymmetric unit:
Mg (0.000, 0.000, 0.000) x1
Mg (0.174, 0.696, 0.348) x1
Mg (0.350, 0.385, 0.702) x1
H (0.410, 0.042, 0.819) x1
H (0.588, 0.373, 0.173) x1
H (0.767, 0.015, 0.533) x1
Ir (0.678, 0.199, 0.354) x1

***

4.
This entry pairs a crystal structure of Mg3H4Ir with its calculated powder diffractogram. Radiation: CuKα. Structure: a DFT-relaxed cell (PBE, Alexandria).
Kinematic intensities with the Lorentz-polarization factor, no thermal factor.

Peak list (12 most intense, 2θ from 10° to 90°, sorted by position)
2θ = 13.39°, d 6.611, intensity 100, hkl 2 0 0
2θ = 20.54°, d 4.324, intensity 36, hkl 0 0 1
2θ = 20.85°, d 4.260, intensity 42, hkl 2 0 -1
2θ = 26.97°, d 3.306, intensity 22, hkl 4 0 0
2θ = 30.42°, d 2.939, intensity 17, hkl 1 1 0
2θ = 35.76°, d 2.511, intensity 16, hkl 1 1 -1
2θ = 36.10°, d 2.488, intensity 26, hkl 3 1 0
2θ = 38.17°, d 2.358, intensity 30, hkl 1 1 1
2θ = 38.53°, d 2.337, intensity 24, hkl 3 1 -1
2θ = 39.73°, d 2.269, intensity 14, hkl 2 0 -2
2θ = 45.05°, d 2.012, intensity 15, hkl 3 1 1
2θ = 45.66°, d 1.987, intensity 22, hkl 5 1 -1

Cell: 13.879 3.014 4.539 Å, 90.00 107.70 90.00°
Space group C2/m (No. 12)
Asymmetric unit:
Mg (0.000, 0.000, 0.000) x2
Mg (0.171, 0.000, 0.707) x4
H (0.093, 0.500, 0.333) x4
H (0.228, 0.000, 0.211) x4
Ir (0.000, 0.500, 0.500) x2

***

5.
This entry pairs a crystal structure of MgH6Ir with its calculated powder diffractogram. Radiation: CuKα. Structure: a DFT-relaxed cell (PBE, Alexandria).
Kinematic intensities with the Lorentz-polarization factor, no thermal factor.

Peak list (12 most intense, 2θ from 10° to 90°, sorted by position)
2θ = 22.47°, d 3.957, intensity 100, hkl 0 0 1
2θ = 23.42°, d 3.799, intensity 46, hkl 0 1 -1
2θ = 26.97°, d 3.306, intensity 60, hkl 1 0 0
2θ = 31.78°, d 2.816, intensity 59, hkl 1 1 -1
2θ = 38.68°, d 2.328, intensity 30, hkl -1 1 1
2θ = 38.86°, d 2.318, intensity 16, hkl 0 1 1
2θ = 39.86°, d 2.262, intensity 23, hkl 1 1 -2
2θ = 40.60°, d 2.222, intensity 30, hkl 0 1 -2
2θ = 42.33°, d 2.135, intensity 25, hkl 1 0 1
2θ = 45.86°, d 1.979, intensity 16, hkl 0 2 0
2θ = 55.60°, d 1.653, intensity 18, hkl 2 0 -2
2θ = 56.02°, d 1.641, intensity 16, hkl 2 -1 0

Cell: 3.639 4.451 4.806 Å, 115.04 112.23 90.02°
Space group P1 (No. 1)
Asymmetric unit:
Mg (0.000, 0.000, 0.000) x1
H (0.025, 0.540, 0.499) x1
H (0.229, 0.018, 0.461) x1
H (0.471, 0.540, 0.499) x1
H (0.523, 0.301, 0.049) x1
H (0.539, 0.806, 0.079) x1
H (0.889, 0.373, 0.780) x1
Ir (0.370, 0.423, 0.743) x1

***

6.
This entry pairs a crystal structure of MgHIr5 with its calculated powder diffractogram. Radiation: CuKα. Structure: a DFT-relaxed cell (PBE, Alexandria).
Kinematic intensities with the Lorentz-polarization factor, no thermal factor.

Peak list (12 most intense, 2θ from 10° to 90°, sorted by position)
2θ = 21.06°, d 4.218, intensity 23, hkl 1 0 0
2θ = 36.91°, d 2.435, intensity 25, hkl 1 1 0
2θ = 39.84°, d 2.263, intensity 27, hkl 0 0 2
2θ = 42.13°, d 2.145, intensity 100, hkl 2 -1 1
2θ = 45.49°, d 1.994, intensity 6, hkl 1 0 2
2θ = 47.56°, d 1.912, intensity 11, hkl 2 0 1
2θ = 55.43°, d 1.658, intensity 16, hkl 1 1 2
2θ = 61.68°, d 1.504, intensity 6, hkl 2 1 1
2θ = 66.49°, d 1.406, intensity 15, hkl 3 0 0
2θ = 73.91°, d 1.282, intensity 19, hkl 2 -1 3
2θ = 80.41°, d 1.194, intensity 18, hkl 3 0 2
2θ = 81.93°, d 1.176, intensity 12, hkl 2 2 1

Cell: 4.8710 4.8710 4.5253 Å, 90.00 90.00 120.00°
Space group P31m (No. 157)
Asymmetric unit:
Mg (0.0000, 0.0000, 0.0000) x1
H (0.0000, 0.0000, 0.4582) x1
Ir (0.0000, 0.6313, 0.5139) x3
Ir (0.3333, 0.6667, 0.0134) x2

***

7.
This entry pairs a crystal structure of MgH4Ir5 with its calculated powder diffractogram. Radiation: CuKα. Structure: a DFT-relaxed cell (PBE, Alexandria).
Kinematic intensities with the Lorentz-polarization factor, no thermal factor.

Peak list (12 most intense, 2θ from 10° to 90°, sorted by position)
2θ = 16.58°, d 5.347, intensity 15, hkl 0 1 0
2θ = 19.63°, d 4.522, intensity 96, hkl 0 0 1
2θ = 20.04°, d 4.432, intensity 14, hkl 1 0 0
2θ = 36.45°, d 2.465, intensity 16, hkl 1 1 1
2θ = 39.36°, d 2.289, intensity 41, hkl 1 2 0
2θ = 39.59°, d 2.276, intensity 22, hkl 2 0 -1
2θ = 39.87°, d 2.261, intensity 43, hkl 0 0 2
2θ = 40.72°, d 2.216, intensity 49, hkl 2 0 0
2θ = 41.37°, d 2.182, intensity 100, hkl 1 2 -1
2θ = 47.18°, d 1.926, intensity 62, hkl 1 2 1
2θ = 48.16°, d 1.889, intensity 27, hkl 2 0 -2
2θ = 70.30°, d 1.339, intensity 21, hkl 3 2 -1

Cell: 4.643 5.347 4.738 Å, 90.00 107.36 90.00°
Space group Pm (No. 6)
Asymmetric unit:
Mg (0.000, 0.000, 0.000) x1
H (0.420, 0.000, 0.767) x1
H (0.545, 0.286, 0.188) x2
H (0.832, 0.500, 0.913) x1
Ir (0.219, 0.250, 0.549) x2
Ir (0.231, 0.500, 0.038) x1
Ir (0.686, 0.000, 0.424) x1
Ir (0.722, 0.500, 0.524) x1

***

8.
This entry pairs a crystal structure of Mg4H4Ir with its calculated powder diffractogram. Radiation: CuKα. Structure: a DFT-relaxed cell (PBE, Alexandria).
Kinematic intensities with the Lorentz-polarization factor, no thermal factor.

Peak list (12 most intense, 2θ from 10° to 90°, sorted by position)
2θ = 15.27°, d 5.804, intensity 100, hkl 0 0 1
2θ = 18.88°, d 4.700, intensity 74, hkl 2 0 0
2θ = 22.87°, d 3.889, intensity 55, hkl 1 1 0
2θ = 24.37°, d 3.653, intensity 51, hkl 2 0 -1
2θ = 27.61°, d 3.231, intensity 77, hkl 1 1 -1
2θ = 35.53°, d 2.527, intensity 34, hkl 3 1 0
2θ = 36.38°, d 2.469, intensity 20, hkl 2 0 2
2θ = 38.71°, d 2.326, intensity 70, hkl 1 1 -2
2θ = 38.88°, d 2.317, intensity 55, hkl 3 1 -1
2θ = 41.45°, d 2.178, intensity 23, hkl 4 0 -1
2θ = 42.31°, d 2.136, intensity 20, hkl 0 2 0
2θ = 47.73°, d 1.906, intensity 27, hkl 3 1 2

Cell: 9.400 4.272 5.804 Å, 90.00 90.01 90.00°
Space group Cm (No. 8)
Asymmetric unit:
Mg (0.000, 0.000, 0.000) x2
Mg (0.000, 0.000, 0.484) x2
Mg (0.222, 0.500, 0.242) x2
Mg (0.317, 0.000, 0.743) x2
H (0.026, 0.500, 0.005) x2
H (0.027, 0.500, 0.477) x2
H (0.119, 0.000, 0.742) x2
H (0.356, 0.500, 0.741) x2
Ir (0.420, 0.000, 0.241) x2

***

9.
This entry pairs a crystal structure of Mg5H4Ir with its calculated powder diffractogram. Radiation: CuKα. Structure: a DFT-relaxed cell (PBE, Alexandria).
Kinematic intensities with the Lorentz-polarization factor, no thermal factor.

Peak list (12 most intense, 2θ from 10° to 90°, sorted by position)
2θ = 15.78°, d 5.616, intensity 65, hkl 0 0 1
2θ = 18.80°, d 4.721, intensity 100, hkl 1 1 0
2θ = 23.88°, d 3.727, intensity 54, hkl 1 1 -1
2θ = 25.37°, d 3.511, intensity 25, hkl 1 1 1
2θ = 27.47°, d 3.247, intensity 26, hkl 0 2 1
2θ = 36.22°, d 2.480, intensity 30, hkl 1 1 -2
2θ = 37.19°, d 2.417, intensity 35, hkl 1 3 0
2θ = 38.12°, d 2.360, intensity 25, hkl 2 2 0
2θ = 38.27°, d 2.352, intensity 23, hkl 1 1 2
2θ = 39.26°, d 2.295, intensity 35, hkl 0 2 2
2θ = 40.55°, d 2.225, intensity 23, hkl 2 2 -1
2θ = 41.11°, d 2.196, intensity 22, hkl 1 3 1

Cell: 5.880 7.961 5.632 Å, 90.00 94.32 90.00°
Space group Cm (No. 8)
Asymmetric unit:
Mg (0.000, 0.000, 0.000) x2
Mg (0.094, 0.313, 0.249) x4
Mg (0.292, 0.204, 0.695) x4
H (0.198, 0.500, 0.624) x2
H (0.220, 0.000, 0.410) x2
H (0.277, 0.174, 0.036) x4
Ir (0.446, 0.500, 0.492) x2

***

10.
This entry pairs a crystal structure of Mg5H2Ir3 with its calculated powder diffractogram. Radiation: CuKα. Structure: a DFT-relaxed cell (PBE, Alexandria).
Kinematic intensities with the Lorentz-polarization factor, no thermal factor.

Peak list (12 most intense, 2θ from 10° to 90°, sorted by position)
2θ = 17.97°, d 4.937, intensity 23, hkl 0 1 0
2θ = 21.99°, d 4.042, intensity 100, hkl 1 -1 0
2θ = 25.47°, d 3.497, intensity 38, hkl 0 1 1
2θ = 27.21°, d 3.277, intensity 15, hkl 1 0 1
2θ = 27.91°, d 3.196, intensity 22, hkl 0 1 -2
2θ = 38.45°, d 2.341, intensity 48, hkl 1 1 -2
2θ = 38.80°, d 2.321, intensity 17, hkl 0 2 -2
2θ = 39.58°, d 2.277, intensity 51, hkl 1 1 1
2θ = 40.73°, d 2.215, intensity 26, hkl 2 -1 0
2θ = 41.12°, d 2.195, intensity 18, hkl 0 0 3
2θ = 44.59°, d 2.032, intensity 24, hkl 1 0 -3
2θ = 48.69°, d 1.870, intensity 25, hkl 2 0 1

Cell: 4.430 5.610 6.876 Å, 105.28 90.10 113.25°
Space group P1 (No. 1)
Asymmetric unit:
Mg (0.000, 0.000, 0.000) x1
Mg (0.117, 0.232, 0.489) x1
Mg (0.301, 0.603, 0.211) x1
Mg (0.695, 0.392, 0.898) x1
Mg (0.834, 0.665, 0.538) x1
H (0.202, 0.406, 0.829) x1
H (0.626, 0.249, 0.482) x1
Ir (0.365, 0.731, 0.853) x1
Ir (0.480, 0.958, 0.570) x1
Ir (0.584, 0.167, 0.215) x1

***

11.
This entry pairs a crystal structure of Mg5H3Ir with its calculated powder diffractogram. Radiation: CuKα. Structure: a DFT-relaxed cell (PBE, Alexandria).
Kinematic intensities with the Lorentz-polarization factor, no thermal factor.

Peak list (12 most intense, 2θ from 10° to 90°, sorted by position)
2θ = 15.97°, d 5.549, intensity 92, hkl 0 1 0
2θ = 18.28°, d 4.853, intensity 100, hkl 0 0 1
2θ = 20.18°, d 4.401, intensity 72, hkl 1 0 0
2θ = 20.88°, d 4.254, intensity 38, hkl 1 0 -1
2θ = 24.37°, d 3.653, intensity 80, hkl 0 1 1
2θ = 25.84°, d 3.448, intensity 73, hkl 1 1 0
2θ = 26.40°, d 3.376, intensity 37, hkl 1 1 -1
2θ = 36.54°, d 2.459, intensity 38, hkl 1 1 1
2θ = 37.77°, d 2.382, intensity 56, hkl 1 1 -2
2θ = 38.35°, d 2.347, intensity 68, hkl 1 2 0
2θ = 38.75°, d 2.324, intensity 47, hkl 1 2 -1
2θ = 40.58°, d 2.223, intensity 45, hkl 0 1 2

Cell: 4.836 5.549 5.333 Å, 90.00 114.50 90.00°
Space group Pm (No. 6)
Asymmetric unit:
Mg (0.000, 0.000, 0.000) x1
Mg (0.124, 0.500, 0.771) x1
Mg (0.297, 0.000, 0.588) x1
Mg (0.625, 0.254, 0.259) x2
H (0.477, 0.500, 0.538) x1
H (0.712, 0.000, 0.575) x1
H (0.789, 0.500, 0.000) x1
Ir (0.129, 0.500, 0.275) x1

***

12.
This entry pairs a crystal structure of Mg2HIr4 with its calculated powder diffractogram. Radiation: CuKα. Structure: a DFT-relaxed cell (PBE, Alexandria).
Kinematic intensities with the Lorentz-polarization factor, no thermal factor.

Peak list (12 most intense, 2θ from 10° to 90°, sorted by position)
2θ = 16.32°, d 5.433, intensity 74, hkl 0 0 1
2θ = 27.94°, d 3.193, intensity 18, hkl 1 1 -1
2θ = 38.89°, d 2.316, intensity 100, hkl 1 1 -2
2θ = 39.42°, d 2.286, intensity 87, hkl 3 1 0
2θ = 44.88°, d 2.019, intensity 28, hkl 2 0 2
2θ = 45.58°, d 1.990, intensity 30, hkl 0 2 0
2θ = 46.13°, d 1.968, intensity 28, hkl 4 0 -2
2θ = 46.74°, d 1.943, intensity 15, hkl 3 1 1
2θ = 53.66°, d 1.708, intensity 13, hkl 1 1 -3
2θ = 65.89°, d 1.418, intensity 18, hkl 2 2 2
2θ = 66.86°, d 1.399, intensity 19, hkl 4 2 -2
2θ = 79.73°, d 1.203, intensity 13, hkl 1 3 -2

Cell: 8.779 3.981 5.694 Å, 90.00 107.43 90.00°
Space group Cm (No. 8)
Asymmetric unit:
Mg (0.000, 0.000, 0.000) x2
Mg (0.159, 0.500, 0.814) x2
H (0.234, 0.000, 0.875) x2
Ir (0.175, 0.500, 0.340) x2
Ir (0.330, 0.000, 0.635) x2
Ir (0.342, 0.000, 0.181) x2
Ir (0.492, 0.500, 0.474) x2